# 1
Diffraction record for Nd3Er8. The powder diffraction line list is simulated, not measured: it uses a crystal structure in Alexandria, relaxed with GGA-PBE and Cu Kα (weighted mean of Kα1 and Kα2).
No peak broadening, texture or thermal motion is included.

Structural model:
```
Nd3Er8
1.0
2.8367 1.6378 12.7016
-2.8367 1.6378 12.7016
0.0000 -3.2755 12.7016
Nd Er
3 8
Direct
0.0000 0.0000 0.0000
0.2717 0.2717 0.2717
0.7283 0.7283 0.7283
0.0929 0.0929 0.0929
0.1812 0.1812 0.1812
0.3645 0.3645 0.3645
0.4554 0.4554 0.4554
0.5446 0.5446 0.5446
0.6355 0.6355 0.6355
0.8188 0.8188 0.8188
0.9071 0.9071 0.9071
```

Principal peaks in the range 2θ = 5–70°, in order of falling intensity:
31.57°, I 100; 56.19°, I 29; 45.25°, I 19; 56.32°, I 10; 65.85°, I 6; 65.99°, I 6; 6.96°, I 1



# 2
Diffraction record for TbDy3Sc. The powder diffraction line list is simulated, not measured: it uses a crystal structure in Alexandria, relaxed with GGA-PBE and Cu Kα (weighted mean of Kα1 and Kα2).
No peak broadening, texture or thermal motion is included.

Structural model:
```
TbDy3Sc
1.0
3.4994 0.0000 0.0000
-1.7497 3.0306 0.0000
0.0000 0.0000 42.4242
Tb Dy Sc
3 9 3
Direct
0.0000 0.0000 0.0000
0.3333 0.6667 0.6667
0.6667 0.3333 0.3333
0.0000 0.0000 0.4015
0.0000 0.0000 0.5977
0.0000 0.0000 0.8035
0.3333 0.6667 0.0682
0.3333 0.6667 0.2643
0.3333 0.6667 0.4702
0.6667 0.3333 0.1369
0.6667 0.3333 0.7349
0.6667 0.3333 0.9310
0.0000 0.0000 0.2006
0.3333 0.6667 0.8673
0.6667 0.3333 0.5339
```

Principal peaks in the range 2θ = 5–70°, in order of falling intensity:
31.34°, I 100; 36.43°, I 66; 31.64°, I 31; 62.41°, I 27; 52.28°, I 24; 52.67°, I 23; 6.25°, I 21; 62.24°, I 14; 62.75°, I 12; 65.40°, I 12



# 3
Diffraction record for Pr4Co3Ru. The powder diffraction line list is simulated, not measured: it uses a crystal structure in Alexandria, relaxed with GGA-PBE and Cu Kα (weighted mean of Kα1 and Kα2).
No peak broadening, texture or thermal motion is included.

Structural model:
```
Pr4Co3Ru
1.0
4.0557 0.0000 0.0000
0.0000 4.2364 0.0000
0.0000 0.0000 10.8070
Pr Co Ru
4 3 1
Direct
0.0000 0.0000 0.0000
0.0000 0.5000 0.4954
0.5000 0.0000 0.7095
0.5000 0.5000 0.2103
0.0000 0.0000 0.3026
0.5000 0.0000 0.3998
0.5000 0.5000 0.9142
0.0000 0.5000 0.7987
```

Principal peaks in the range 2θ = 5–70°, in order of falling intensity:
31.64°, I 100; 32.63°, I 70; 39.65°, I 42; 27.50°, I 33; 56.42°, I 29; 42.69°, I 27; 40.10°, I 26; 44.69°, I 24; 63.51°, I 16; 55.85°, I 15



# 4
Diffraction record for Tb6TmTh4. The powder diffraction line list is simulated, not measured: it uses a crystal structure in Alexandria, relaxed with GGA-PBE and Cu Kα (weighted mean of Kα1 and Kα2).
No peak broadening, texture or thermal motion is included.

Structural model:
```
Tb6TmTh4
1.0
-1.7147 2.9222 17.8847
1.7147 -2.9222 17.8847
1.7147 2.9222 -17.8847
Tb Tm Th
6 1 4
Direct
0.0950 0.0950 0.0000
0.2673 0.2673 0.0000
0.3689 0.3689 0.0000
0.6311 0.6311 0.0000
0.7327 0.7327 0.0000
0.9050 0.9050 0.0000
0.0000 0.5000 0.5000
0.1819 0.6819 0.5000
0.4565 0.9565 0.5000
0.5435 0.0435 0.5000
0.8181 0.3181 0.5000
```

Principal peaks in the range 2θ = 5–70°, in order of falling intensity:
31.48°, I 100; 30.60°, I 66; 33.83°, I 39; 36.42°, I 37; 63.35°, I 26; 27.05°, I 26; 54.94°, I 20; 28.87°, I 18; 41.29°, I 17; 31.87°, I 16



# 5
Diffraction record for Sm5YSb5. The powder diffraction line list is simulated, not measured: it uses a crystal structure in Alexandria, relaxed with GGA-PBE and Cu Kα (weighted mean of Kα1 and Kα2).
No peak broadening, texture or thermal motion is included.

Structural model:
```
Sm5YSb5
1.0
6.9734 -3.1283 0.0000
6.9734 3.1283 0.0000
-2.8111 0.0000 8.3690
Sm Y Sb
5 1 5
Direct
0.0000 0.0000 0.0000
0.3310 0.3310 0.1669
0.3350 0.3350 0.6682
0.6650 0.6650 0.3318
0.6690 0.6690 0.8331
0.0000 0.0000 0.5000
0.1655 0.1655 0.8325
0.1667 0.1667 0.3344
0.5000 0.5000 0.5000
0.8333 0.8333 0.6656
0.8345 0.8345 0.1675
```

Principal peaks in the range 2θ = 5–70°, in order of falling intensity:
28.56°, I 100; 40.86°, I 95; 28.65°, I 50; 50.64°, I 41; 66.95°, I 26; 40.96°, I 19; 67.14°, I 17; 67.06°, I 9; 24.70°, I 7; 59.06°, I 6



# 6
Diffraction record for Zn2CuPt5Rh. The powder diffraction line list is simulated, not measured: it uses a crystal structure in Alexandria, relaxed with GGA-PBE and Cu Kα (weighted mean of Kα1 and Kα2).
No peak broadening, texture or thermal motion is included.

Structural model:
```
Zn2CuPt5Rh
1.0
-3.6360 3.6360 5.4557
3.6360 -3.6360 5.4557
3.6360 3.6360 -5.4557
Zn Cu Pt Rh
4 2 10 2
Direct
0.1076 0.6076 0.7152
0.3924 0.1076 0.5000
0.6076 0.8924 0.5000
0.8924 0.3924 0.2848
0.2500 0.2500 0.0000
0.7500 0.7500 0.0000
0.0000 0.0000 0.0000
0.0750 0.1629 0.5000
0.1629 0.6629 0.0879
0.3371 0.4250 0.5000
0.4250 0.9250 0.0879
0.5000 0.5000 0.0000
0.5750 0.0750 0.9121
0.6629 0.5750 0.5000
0.8371 0.3371 0.9121
0.9250 0.8371 0.5000
0.2500 0.7500 0.5000
0.7500 0.2500 0.5000
```

Principal peaks in the range 2θ = 5–70°, in order of falling intensity:
41.38°, I 100; 34.90°, I 63; 37.08°, I 38; 52.56°, I 22; 67.00°, I 17; 58.13°, I 16; 28.64°, I 15; 39.17°, I 14; 45.75°, I 13; 42.67°, I 12



# 7
Diffraction record for RbLiSiTe3. The powder diffraction line list is simulated, not measured: it uses a crystal structure in Alexandria, relaxed with GGA-PBE and Cu Kα (weighted mean of Kα1 and Kα2).
No peak broadening, texture or thermal motion is included.

Structural model:
```
RbLiSiTe3
1.0
6.1798 -4.2870 0.0000
6.1798 4.2870 0.0000
-0.6876 0.0000 8.3470
Rb Li Si Te
2 2 2 6
Direct
0.1508 0.1508 0.3643
0.8492 0.8492 0.6357
0.3270 0.6730 0.0000
0.6730 0.3270 0.0000
0.4822 0.4822 0.3589
0.5178 0.5178 0.6411
0.1378 0.6441 0.2657
0.3450 0.3450 0.7829
0.3559 0.8622 0.7343
0.6441 0.1378 0.2657
0.6550 0.6550 0.2172
0.8622 0.3559 0.7343
```

Principal peaks in the range 2θ = 5–70°, in order of falling intensity:
27.04°, I 100; 27.98°, I 93; 21.29°, I 71; 29.00°, I 31; 25.32°, I 26; 42.16°, I 20; 34.75°, I 20; 34.09°, I 19; 42.35°, I 18; 55.76°, I 18



# 8
Diffraction record for B2C3. The powder diffraction line list is simulated, not measured: it uses a crystal structure in Alexandria, relaxed with GGA-PBE and Cu Kα (weighted mean of Kα1 and Kα2).
No peak broadening, texture or thermal motion is included.

Structural model:
```
B2C3
1.0
-1.2361 1.2689 10.3334
1.2361 -1.2689 10.3334
1.2361 1.2689 -10.3334
B C
4 6
Direct
0.0000 0.0000 0.0000
0.1897 0.1897 0.0000
0.3352 0.8352 0.5000
0.9348 0.4348 0.5000
0.1373 0.6373 0.5000
0.3864 0.3864 0.0000
0.5511 0.0511 0.5000
0.5945 0.5945 0.0000
0.7417 0.2417 0.5000
0.7816 0.7816 0.0000
```

Principal peaks in the range 2θ = 5–70°, in order of falling intensity:
41.77°, I 100; 42.61°, I 89; 69.96°, I 50; 8.56°, I 41; 17.16°, I 12; 25.87°, I 8; 47.23°, I 2; 34.73°, I 2; 48.00°, I 2; 61.40°, I 2